For NaCr4Cu3O12, DFT lattice parameters and positions (GGA+U) gives the calculated powder diffractogram in this record (copper Kα).
Peak positions follow from Bragg's law for the DFT cell and can differ from measured ones.

Principal peaks in the range 2θ = 15–90°, by angle:
17.05°, intensity 10; 34.50°, intensity 100; 49.58°, intensity 25; 61.80°, intensity 49; 72.74°, intensity 11; 83.06°, intensity 16

Structure:
abc: 6.3686 6.3686 6.3686
angles: 109.47 109.47 109.47
Fractional positions:
Na1 0.0000 0.0000 0.0000
Cr1 0.0000 0.0000 0.5000
Cr2 0.0000 0.5000 0.0000
Cr3 0.5000 0.0000 0.0000
Cr4 0.5000 0.5000 0.5000
Cu1 0.0000 0.5000 0.5000
Cu2 0.5000 0.0000 0.5000
Cu3 0.5000 0.5000 0.0000
O1 0.1425 0.8276 0.3149
O2 0.1724 0.3149 0.4872
O3 0.1724 0.6851 0.8575
O4 0.3149 0.1425 0.8276
O5 0.3149 0.4872 0.1724
O6 0.4872 0.1724 0.3149
O7 0.5128 0.8276 0.6851
O8 0.6851 0.5128 0.8276
O9 0.6851 0.8575 0.1724
O10 0.8276 0.3149 0.1425
O11 0.8276 0.6851 0.5128
O12 0.8575 0.1724 0.6851